(1)
For H2Pt2Pb, a PBE-relaxed structure gives the theoretical powder diffraction line list in this record (copper Kα).
Neutral-atom scattering factors, no anomalous dispersion.

abc: 5.456 5.644 5.663
angles: 72.34 63.33 62.76
Space group P-1 (No. 2)
Inequivalent atoms, fractional coordinates:
H (0.153, 0.425, 0.124)
H (0.342, 0.877, 0.586)
Pt (0.188, 0.608, 0.753)
Pt (0.306, 0.254, 0.397)
Pb (0.254, 0.824, 0.176)

Principal peaks in the range 10° ≤ 2θ ≤ 90°, in order of falling intensity:
- 38.07 deg, I = 100
- 32.33 deg, I = 79
- 33.23 deg, I = 61
- 33.56 deg, I = 56
- 39.94 deg, I = 44
- 38.32 deg, I = 40
- 50.24 deg, I = 23
- 71.16 deg, I = 19
- 36.07 deg, I = 18
- 52.27 deg, I = 18

***

(2)
For Cs4KAs, a PBE-relaxed structure gives the theoretical powder diffraction line list in this record (copper Kα).
Neutral-atom scattering factors, no anomalous dispersion.

abc: 22.930 10.124 8.120
angles: 90.00 105.04 90.00
Space group C2/m (No. 12)
Inequivalent atoms, fractional coordinates:
Cs (0.000, 0.234, 0.000)
Cs (0.104, 0.239, 0.614)
Cs (0.172, 0.000, 0.221)
K (0.195, 0.500, 0.175)
As (0.009, 0.000, 0.350)

Principal peaks in the range 10° ≤ 2θ ≤ 90°, in order of falling intensity:
- 21.96 deg, I = 100
- 23.44 deg, I = 69
- 24.53 deg, I = 48
- 23.83 deg, I = 39
- 28.23 deg, I = 33
- 42.11 deg, I = 31
- 29.99 deg, I = 31
- 19.28 deg, I = 27
- 28.80 deg, I = 22
- 35.47 deg, I = 22

***

(3)
For Cu2Te2Br2O5, a PBE-relaxed structure gives the theoretical powder diffraction line list in this record (copper Kα).
Neutral-atom scattering factors, no anomalous dispersion.

abc: 8.014 8.014 6.440
angles: 90.00 90.00 90.00
Space group P-4 (No. 81)
Inequivalent atoms, fractional coordinates:
Cu (0.031, 0.777, 0.349)
Te (0.134, 0.683, 0.869)
Br (0.262, 0.587, 0.315)
O (0.000, 0.500, 0.749)
O (0.037, 0.255, 0.061)
O (0.067, 0.830, 0.643)

Principal peaks in the range 10° ≤ 2θ ≤ 90°, in order of falling intensity:
- 24.84 deg, I = 100
- 28.50 deg, I = 48
- 31.97 deg, I = 43
- 29.91 deg, I = 39
- 37.55 deg, I = 29
- 11.04 deg, I = 26
- 36.41 deg, I = 23
- 48.95 deg, I = 22
- 43.05 deg, I = 20
- 34.59 deg, I = 18